# 1
This entry pairs a crystal structure of B5C7 with its calculated powder diffraction line list. Radiation: CuKα. Structure: a crystal structure in Alexandria, relaxed with GGA-PBE.
Peak positions follow from Bragg's law for the DFT cell and can differ from measured ones.

Cell and atoms:
Cell lengths 4.474, 4.652, 4.674 Å; angles 119.67, 102.63, 96.87 degrees
Fractional coordinates of all 12 atoms:
B: 0.000 0.000 0.000
B: 0.009 0.672 0.249
B: 0.157 0.084 0.613
B: 0.538 0.893 0.108
B: 0.576 0.514 0.129
C: 0.009 0.369 0.616
C: 0.130 0.388 0.330
C: 0.161 0.694 0.973
C: 0.497 0.514 0.445
C: 0.530 0.168 0.749
C: 0.641 0.884 0.784
C: 0.646 0.244 0.489

Most intense lines, 2θ = 10–90°, by intensity:
- 2θ 40.60, I 100
- 2θ 42.25, I 86
- 2θ 40.91, I 85
- 2θ 43.02, I 81
- 2θ 69.87, I 24
- 2θ 71.69, I 23
- 2θ 69.45, I 22
- 2θ 70.54, I 21
- 2θ 74.71, I 20
- 2θ 70.15, I 20

***

# 2
This entry pairs a crystal structure of BC with its calculated powder diffraction line list. Radiation: CuKα. Structure: a crystal structure in Alexandria, relaxed with GGA-PBE.
Peak positions follow from Bragg's law for the DFT cell and can differ from measured ones.

Cell and atoms:
Cell lengths 4.491, 4.491, 5.590 Å; angles 123.10, 123.10, 44.72 degrees
Fractional coordinates of all 10 atoms:
B: 0.000 0.000 0.000
B: 0.009 0.457 0.102
B: 0.511 0.389 0.220
B: 0.543 0.991 0.898
B: 0.611 0.489 0.780
C: 0.140 0.594 0.682
C: 0.218 0.153 0.591
C: 0.406 0.860 0.318
C: 0.801 0.199 0.500
C: 0.847 0.782 0.409

Most intense lines, 2θ = 10–90°, by intensity:
- 2θ 43.04, I 100
- 2θ 42.19, I 89
- 2θ 70.39, I 26
- 2θ 19.68, I 25
- 2θ 78.42, I 17
- 2θ 70.67, I 16
- 2θ 48.69, I 16
- 2θ 78.06, I 11
- 2θ 30.71, I 10
- 2θ 72.11, I 7

***

What is the formula in the first record?
B5C7